(1)
Computed powder diffraction line list of TaTlPb for Cu Kα (λ = 1.5418 Å), from a cell relaxed with PBE.
Intensities are scaled so that the largest is 100.

Crystal structure
```
data_TaTlPb
_space_group_name_H-M_alt 'F m m 2'
_space_group_IT_number 42
_space_group_name_Hall 'F 2 -2'
_cell_length_a 4.0291
_cell_length_b 4.7108
_cell_length_c 15.8428
_cell_angle_alpha 90.00
_cell_angle_beta 90.00
_cell_angle_gamma 90.00
loop_
_atom_site_label
_atom_site_type_symbol
_atom_site_fract_x
_atom_site_fract_y
_atom_site_fract_z
Ta1 Ta 0.0000 0.0000 0.0000
Tl1 Tl 0.0000 0.0000 0.3517
Pb1 Pb 0.0000 0.0000 0.6482
```

Peak list (10 most intense, 5 to 70 degrees two-theta, by angle)
- d 2.649, 33.84°, I = 100.0, hkl 1 1 3
- d 2.640, 33.95°, I = 19.0, hkl 0 0 6
- d 2.355, 38.21°, I = 19.7, hkl 0 2 0
- d 2.202, 40.99°, I = 7.7, hkl 1 1 5
- d 2.015, 45.00°, I = 12.5, hkl 2 0 0
- d 1.758, 52.03°, I = 11.6, hkl 0 2 6
- d 1.602, 57.54°, I = 8.6, hkl 2 0 6
- d 1.531, 60.47°, I = 10.5, hkl 2 2 0
- d 1.526, 60.68°, I = 9.0, hkl 1 1 9
- d 1.410, 66.29°, I = 14.8, hkl 1 3 3

(2)
Computed powder diffraction line list of Tb5Pb4 for Cu Kα (λ = 1.5418 Å), from a cell relaxed with PBE.
Intensities are scaled so that the largest is 100.

Crystal structure
```
data_Tb5Pb4
_space_group_name_H-M_alt 'P n m a'
_space_group_IT_number 62
_space_group_name_Hall '-P 2ac 2n'
_cell_length_a 8.2380
_cell_length_b 15.7038
_cell_length_c 8.3234
_cell_angle_alpha 90.00
_cell_angle_beta 90.00
_cell_angle_gamma 90.00
loop_
_atom_site_label
_atom_site_type_symbol
_atom_site_fract_x
_atom_site_fract_y
_atom_site_fract_z
Tb1 Tb 0.0350 0.0999 0.1761
Tb2 Tb 0.1237 0.6205 0.3430
Tb3 Tb 0.2094 0.2500 0.5037
Pb1 Pb 0.0714 0.2500 0.8757
Pb2 Pb 0.1537 0.7500 0.6519
Pb3 Pb 0.2186 0.0431 0.5341
```

Peak list (10 most intense, 5 to 70 degrees two-theta, by angle)
- d 3.029, 29.49°, I = 100.0, hkl 1 3 2
- d 3.017, 29.61°, I = 38.6, hkl 2 3 1
- d 2.928, 30.54°, I = 36.0, hkl 2 0 2
- d 2.856, 31.32°, I = 25.0, hkl 0 4 2
- d 2.768, 32.35°, I = 31.5, hkl 1 5 1
- d 2.689, 33.31°, I = 60.3, hkl 2 4 1
- d 2.617, 34.26°, I = 27.1, hkl 0 6 0
- d 2.608, 34.39°, I = 33.7, hkl 3 0 1
- d 2.593, 34.59°, I = 55.7, hkl 1 1 3
- d 2.573, 34.88°, I = 33.4, hkl 3 1 1

(3)
Computed powder diffraction line list of Tb8Te4Pb3 for Cu Kα (λ = 1.5418 Å), from a cell relaxed with PBE.
Intensities are scaled so that the largest is 100.

Crystal structure
```
data_Tb8Te4Pb3
_space_group_name_H-M_alt 'C 1 2/m 1'
_space_group_IT_number 12
_space_group_name_Hall '-C 2y'
_cell_length_a 12.3456
_cell_length_b 12.3822
_cell_length_c 8.7094
_cell_angle_alpha 90.00
_cell_angle_beta 134.66
_cell_angle_gamma 90.00
loop_
_atom_site_label
_atom_site_type_symbol
_atom_site_fract_x
_atom_site_fract_y
_atom_site_fract_z
Tb1 Tb 0.0000 0.2461 0.0000
Tb2 Tb 0.0000 0.2483 0.5000
Tb3 Tb 0.2419 0.0000 0.9975
Tb4 Tb 0.2450 0.0000 0.4967
Te1 Te 0.0000 0.5000 0.0000
Te2 Te 0.0000 0.5000 0.5000
Te3 Te 0.2500 0.2500 0.5000
Pb1 Pb 0.0000 0.0000 0.5000
Pb2 Pb 0.2500 0.2500 0.0000
```

Peak list (10 most intense, 5 to 70 degrees two-theta, by angle)
- d 3.097, 28.83°, I = 100.0, hkl 0 4 0
- d 3.086, 28.93°, I = 49.4, hkl 4 0 -2
- d 2.195, 41.12°, I = 19.2, hkl 4 0 0
- d 2.188, 41.27°, I = 76.4, hkl 0 4 2
- d 2.177, 41.47°, I = 18.9, hkl 4 0 -4
- d 1.791, 51.00°, I = 20.6, hkl 4 4 0
- d 1.781, 51.30°, I = 20.4, hkl 4 4 -4
- d 1.548, 59.73°, I = 12.9, hkl 0 0 4
- d 1.385, 67.64°, I = 22.2, hkl 0 4 4
- d 1.381, 67.89°, I = 13.1, hkl 4 0 -6

(4)
Computed powder diffraction line list of Tb10Te3Pb3 for Cu Kα (λ = 1.5418 Å), from a cell relaxed with PBE.
Intensities are scaled so that the largest is 100.

Crystal structure
```
data_Tb10Te3Pb3
_space_group_name_H-M_alt 'P -6 2 m'
_space_group_IT_number 189
_space_group_name_Hall 'P -6 -2'
_cell_length_a 9.1183
_cell_length_b 9.1183
_cell_length_c 6.3568
_cell_angle_alpha 90.00
_cell_angle_beta 90.00
_cell_angle_gamma 120.00
loop_
_atom_site_label
_atom_site_type_symbol
_atom_site_fract_x
_atom_site_fract_y
_atom_site_fract_z
Tb1 Tb 0.0000 0.2440 0.0000
Tb2 Tb 0.0000 0.7535 0.5000
Tb3 Tb 0.3333 0.6667 0.2511
Te1 Te 0.0000 0.3850 0.5000
Pb1 Pb 0.0000 0.6092 0.0000
```

Peak list (10 most intense, 5 to 70 degrees two-theta, by angle)
- d 3.178, 28.07°, I = 19.9, hkl 0 0 2
- d 2.985, 29.94°, I = 28.4, hkl 2 1 0
- d 2.702, 33.16°, I = 100.0, hkl 2 1 1
- d 2.632, 34.06°, I = 51.3, hkl 3 0 0
- d 2.607, 34.40°, I = 79.9, hkl 1 1 2
- d 2.071, 43.72°, I = 14.5, hkl 3 1 1
- d 1.852, 49.19°, I = 20.2, hkl 2 2 2
- d 1.728, 53.00°, I = 26.7, hkl 2 1 3
- d 1.414, 66.06°, I = 17.7, hkl 5 0 2
- d 1.360, 69.03°, I = 13.4, hkl 3 0 4

(5)
Computed powder diffraction line list of Tb4TlPb for Cu Kα (λ = 1.5418 Å), from a cell relaxed with PBE.
Intensities are scaled so that the largest is 100.

Crystal structure
```
data_Tb4TlPb
_space_group_name_H-M_alt 'C 1 2/c 1'
_space_group_IT_number 15
_space_group_name_Hall '-C 2yc'
_cell_length_a 9.1434
_cell_length_b 13.9832
_cell_length_c 6.4039
_cell_angle_alpha 90.00
_cell_angle_beta 116.41
_cell_angle_gamma 90.00
loop_
_atom_site_label
_atom_site_type_symbol
_atom_site_fract_x
_atom_site_fract_y
_atom_site_fract_z
Tb1 Tb 0.1117 0.1890 0.0753
Tb2 Tb 0.1981 0.4187 0.3164
Tl1 Tl 0.0000 0.0011 0.7500
Pb1 Pb 0.0000 0.3790 0.7500
```

Peak list (10 most intense, 5 to 70 degrees two-theta, by angle)
- d 2.979, 30.00°, I = 100.0, hkl 3 1 -1
- d 2.818, 31.75°, I = 28.0, hkl 2 2 -2
- d 2.732, 32.78°, I = 26.2, hkl 2 4 -1
- d 2.654, 33.78°, I = 32.4, hkl 0 2 2
- d 2.647, 33.87°, I = 66.8, hkl 1 5 0
- d 2.629, 34.10°, I = 52.5, hkl 1 3 -2
- d 2.596, 34.55°, I = 63.4, hkl 2 2 1
- d 2.549, 35.22°, I = 24.6, hkl 3 3 -1
- d 2.356, 38.20°, I = 29.7, hkl 3 3 0
- d 1.520, 60.95°, I = 30.1, hkl 5 5 -2

(6)
Computed powder diffraction line list of Tb2Tl2Pb for Cu Kα (λ = 1.5418 Å), from a cell relaxed with PBE.
Intensities are scaled so that the largest is 100.

Crystal structure
```
data_Tb2Tl2Pb
_space_group_name_H-M_alt 'P 63/m m c'
_space_group_IT_number 194
_space_group_name_Hall '-P 6c 2c'
_cell_length_a 5.3145
_cell_length_b 5.3145
_cell_length_c 12.1845
_cell_angle_alpha 90.00
_cell_angle_beta 90.00
_cell_angle_gamma 120.00
loop_
_atom_site_label
_atom_site_type_symbol
_atom_site_fract_x
_atom_site_fract_y
_atom_site_fract_z
Tb1 Tb 0.0000 0.0000 0.0000
Tb2 Tb 0.3333 0.6667 0.2500
Tl1 Tl 0.3333 0.6667 0.5803
Pb1 Pb 0.0000 0.0000 0.2500
```

Peak list (10 most intense, 5 to 70 degrees two-theta, by angle)
- d 3.045, 29.33°, I = 85.7, hkl 1 0 3
- d 2.657, 33.73°, I = 100.0, hkl 1 1 0
- d 2.540, 35.33°, I = 28.7, hkl 1 0 4
- d 2.031, 44.62°, I = 6.7, hkl 0 0 6
- d 2.002, 45.29°, I = 37.1, hkl 2 0 3
- d 1.836, 49.65°, I = 11.1, hkl 2 0 4
- d 1.614, 57.08°, I = 19.6, hkl 1 1 6
- d 1.599, 57.65°, I = 24.1, hkl 2 1 3
- d 1.534, 60.33°, I = 19.2, hkl 3 0 0
- d 1.511, 61.37°, I = 11.9, hkl 2 1 4